La2NdFe2B2N3: simulated PXRD pattern (Cu Ka), based on DFT lattice parameters and positions (PBE).
Intensities are scaled so that the largest is 100.

Crystal structure
```
La2NdFe2B2N3
1.0
-1.8245 1.8245 10.3825
1.8245 -1.8245 10.3825
1.8245 1.8245 -10.3825
La Nd Fe B N
2 1 2 2 3
Direct
0.1263 0.1263 0.0000
0.8737 0.8737 0.0000
0.5000 0.5000 0.0000
0.2500 0.7500 0.5000
0.7500 0.2500 0.5000
0.3094 0.3094 0.0000
0.6906 0.6906 0.0000
0.0000 0.0000 0.0000
0.3800 0.3800 0.0000
0.6200 0.6200 0.0000
```

The 8 most intense peaks (2θ = 15–90°), sorted by position:
27.64 deg, I 100.0; 32.67 deg, I 72.1; 34.56 deg, I 50.9; 34.77 deg, I 40.5; 35.86 deg, I 40.2; 38.98 deg, I 31.0; 49.99 deg, I 38.3; 62.19 deg, I 35.0